The following is a calculated powder diffraction line list of ThNbN4. It was derived from a DFT-relaxed cell (GGA-PBE, Alexandria), using Cu Kα.
Intensities are scaled so that the largest is 100.

Cell: 5.981 5.981 4.311 Å, 90.00 90.00 90.00°
Sites, in units of the cell vectors:
Th  0.250  0.250  0.000
Th  0.750  0.750  0.000
Nb  0.250  0.750  0.500
Nb  0.750  0.250  0.500
N  0.023  0.523  0.332
N  0.023  0.977  0.668
N  0.477  0.523  0.668
N  0.477  0.977  0.332
N  0.523  0.023  0.668
N  0.523  0.477  0.332
N  0.977  0.023  0.332
N  0.977  0.477  0.668

Most intense lines, 2θ from 15° to 90°, by angle:
2θ 21.0, I 16.9
2θ 29.6, I 100.0
2θ 29.9, I 33.2
2θ 36.6, I 13.1
2θ 42.8, I 24.2
2θ 52.3, I 23.6
2θ 52.9, I 39.7
2θ 85.4, I 11.4



The following is a calculated powder diffraction line list of Ti2Nb2N3. It was derived from a DFT-relaxed cell (GGA-PBE, Alexandria), using Cu Kα.
Intensities are scaled so that the largest is 100.

Cell: 5.927 5.226 5.994 Å, 90.00 118.79 90.00°
Sites, in units of the cell vectors:
Ti  0.128  0.159  0.383
Ti  0.128  0.341  0.883
Ti  0.872  0.659  0.117
Ti  0.872  0.841  0.617
Nb  0.379  0.670  0.632
Nb  0.379  0.830  0.132
Nb  0.621  0.170  0.868
Nb  0.621  0.330  0.368
N  0.235  0.004  0.757
N  0.235  0.496  0.257
N  0.500  0.000  0.500
N  0.500  0.500  0.000
N  0.765  0.504  0.743
N  0.765  0.996  0.243

Most intense lines, 2θ from 15° to 90°, by angle:
2θ 17.1, I 23.1
2θ 34.2, I 12.4
2θ 35.0, I 33.0
2θ 38.4, I 50.9
2θ 38.7, I 100.0
2θ 49.4, I 12.4
2θ 49.8, I 12.1
2θ 61.4, I 19.7



The following is a calculated powder diffraction line list of U3NbN4. It was derived from a DFT-relaxed cell (GGA-PBE, Alexandria), using Cu Kα.
Intensities are scaled so that the largest is 100.

Cell: 5.829 6.694 5.849 Å, 90.00 109.59 90.00°
Sites, in units of the cell vectors:
U  0.000  0.119  0.250
U  0.000  0.372  0.750
U  0.000  0.628  0.250
U  0.000  0.881  0.750
U  0.500  0.370  0.250
U  0.500  0.630  0.750
Nb  0.500  0.130  0.750
Nb  0.500  0.870  0.250
N  0.259  0.367  0.507
N  0.259  0.633  0.007
N  0.269  0.117  0.003
N  0.269  0.883  0.503
N  0.731  0.117  0.497
N  0.731  0.883  0.997
N  0.741  0.367  0.993
N  0.741  0.633  0.493

Most intense lines, 2θ from 15° to 90°, by angle:
2θ 32.5, I 33.8
2θ 32.7, I 100.0
2θ 37.7, I 30.1
2θ 37.9, I 59.1
2θ 54.5, I 31.1
2θ 54.6, I 20.5
2θ 64.9, I 25.3
2θ 65.3, I 19.7



The following is a calculated powder diffraction line list of Y2UNbN4. It was derived from a DFT-relaxed cell (GGA-PBE, Alexandria), using Cu Kα.
Intensities are scaled so that the largest is 100.

Cell: 5.740 3.384 5.873 Å, 90.00 108.96 90.00°
Sites, in units of the cell vectors:
Y  0.000  0.000  0.000
Y  0.500  0.500  0.000
U  0.000  0.500  0.500
Nb  0.500  0.000  0.500
N  0.244  0.000  0.733
N  0.255  0.500  0.273
N  0.745  0.500  0.727
N  0.756  0.000  0.267

Most intense lines, 2θ from 15° to 90°, by angle:
2θ 16.0, I 27.3
2θ 32.2, I 49.9
2θ 32.5, I 96.6
2θ 33.0, I 46.6
2θ 37.7, I 100.0
2θ 38.1, I 48.3
2θ 54.2, I 50.5
2θ 55.1, I 32.0



The following is a calculated powder diffraction line list of Nb2V3N2. It was derived from a DFT-relaxed cell (GGA-PBE, Alexandria), using Cu Kα.
Intensities are scaled so that the largest is 100.

Cell: 4.576 4.576 7.211 Å, 114.82 114.82 37.61°
Sites, in units of the cell vectors:
Nb  0.161  0.161  0.289
Nb  0.839  0.839  0.711
V  0.374  0.374  0.065
V  0.500  0.500  0.500
V  0.626  0.626  0.935
N  0.131  0.131  0.740
N  0.869  0.869  0.260

Most intense lines, 2θ from 15° to 90°, by angle:
2θ 33.2, I 48.1
2θ 37.4, I 95.4
2θ 37.7, I 99.8
2θ 39.5, I 100.0
2θ 42.3, I 49.6
2θ 43.7, I 53.7
2θ 43.9, I 53.2
2θ 45.7, I 64.6



The following is a calculated powder diffraction line list of Nb3V3N. It was derived from a DFT-relaxed cell (GGA-PBE, Alexandria), using Cu Kα.
Intensities are scaled so that the largest is 100.

Cell: 8.278 8.278 8.278 Å, 60.00 60.00 60.00°
Sites, in units of the cell vectors:
Nb  0.064  0.064  0.686
Nb  0.064  0.686  0.064
Nb  0.064  0.686  0.686
Nb  0.314  0.314  0.936
Nb  0.314  0.936  0.314
Nb  0.314  0.936  0.936
Nb  0.686  0.064  0.064
Nb  0.686  0.064  0.686
Nb  0.686  0.686  0.064
Nb  0.936  0.314  0.314
Nb  0.936  0.314  0.936
Nb  0.936  0.936  0.314
V  0.000  0.500  0.500
V  0.293  0.293  0.293
V  0.293  0.293  0.621
V  0.293  0.621  0.293
V  0.379  0.707  0.707
V  0.500  0.000  0.500
V  0.500  0.500  0.000
V  0.500  0.500  0.500
V  0.621  0.293  0.293
V  0.707  0.379  0.707
V  0.707  0.707  0.379
V  0.707  0.707  0.707
N  0.000  0.000  0.000
N  0.000  0.000  0.500
N  0.000  0.500  0.000
N  0.500  0.000  0.000

Most intense lines, 2θ from 15° to 90°, by angle:
2θ 33.4, I 20.6
2θ 37.6, I 47.7
2θ 40.0, I 100.0
2θ 43.7, I 25.2
2θ 56.1, I 9.0
2θ 67.9, I 41.5
2θ 69.5, I 9.0
2θ 81.9, I 16.9



The following is a calculated powder diffraction line list of Y2NbN3. It was derived from a DFT-relaxed cell (GGA-PBE, Alexandria), using Cu Kα.
Intensities are scaled so that the largest is 100.

Cell: 7.482 7.482 7.482 Å, 154.04 154.04 37.04°
Sites, in units of the cell vectors:
Y  0.163  0.163  0.000
Y  0.837  0.837  0.000
Nb  0.500  0.500  0.000
N  0.000  0.000  0.000
N  0.342  0.342  0.000
N  0.658  0.658  0.000

Most intense lines, 2θ from 15° to 90°, by angle:
2θ 32.7, I 100.0
2θ 37.9, I 60.2
2θ 38.1, I 29.0
2θ 54.6, I 19.4
2θ 54.8, I 37.8
2θ 65.1, I 28.3
2θ 65.4, I 13.8
2θ 68.5, I 18.4



The following is a calculated powder diffraction line list of Nb3Zn2N. It was derived from a DFT-relaxed cell (GGA-PBE, Alexandria), using Cu Kα.
Intensities are scaled so that the largest is 100.

Cell: 7.037 7.037 7.037 Å, 90.00 90.00 90.00°
Sites, in units of the cell vectors:
Nb  0.041  0.125  0.791
Nb  0.125  0.791  0.041
Nb  0.209  0.541  0.375
Nb  0.291  0.459  0.875
Nb  0.375  0.209  0.541
Nb  0.459  0.875  0.291
Nb  0.541  0.375  0.209
Nb  0.625  0.709  0.959
Nb  0.709  0.959  0.625
Nb  0.791  0.041  0.125
Nb  0.875  0.291  0.459
Nb  0.959  0.625  0.709
Zn  0.072  0.928  0.428
Zn  0.178  0.178  0.178
Zn  0.322  0.822  0.678
Zn  0.428  0.072  0.928
Zn  0.572  0.572  0.572
Zn  0.678  0.322  0.822
Zn  0.822  0.678  0.322
Zn  0.928  0.428  0.072
N  0.125  0.375  0.625
N  0.375  0.625  0.125
N  0.625  0.125  0.375
N  0.875  0.875  0.875

Most intense lines, 2θ from 15° to 90°, by angle:
2θ 38.4, I 100.0
2θ 40.5, I 57.2
2θ 42.6, I 19.5
2θ 48.4, I 7.8
2θ 58.7, I 9.1
2θ 67.9, I 22.0
2θ 72.3, I 22.3
2θ 80.8, I 7.0



The following is a calculated powder diffraction line list of Zr3Nb3N. It was derived from a DFT-relaxed cell (GGA-PBE, Alexandria), using Cu Kα.
Intensities are scaled so that the largest is 100.

Cell: 8.951 8.951 8.951 Å, 60.00 60.00 60.00°
Sites, in units of the cell vectors:
Zr  0.058  0.058  0.692
Zr  0.058  0.692  0.058
Zr  0.058  0.692  0.692
Zr  0.308  0.308  0.942
Zr  0.308  0.942  0.308
Zr  0.308  0.942  0.942
Zr  0.692  0.058  0.058
Zr  0.692  0.058  0.692
Zr  0.692  0.692  0.058
Zr  0.942  0.308  0.308
Zr  0.942  0.308  0.942
Zr  0.942  0.942  0.308
Nb  0.000  0.500  0.500
Nb  0.291  0.291  0.291
Nb  0.291  0.291  0.627
Nb  0.291  0.627  0.291
Nb  0.373  0.709  0.709
Nb  0.500  0.000  0.500
Nb  0.500  0.500  0.000
Nb  0.500  0.500  0.500
Nb  0.627  0.291  0.291
Nb  0.709  0.373  0.709
Nb  0.709  0.709  0.373
Nb  0.709  0.709  0.709
N  0.000  0.000  0.000
N  0.000  0.000  0.500
N  0.000  0.500  0.000
N  0.500  0.000  0.000

Most intense lines, 2θ from 15° to 90°, by angle:
2θ 30.8, I 9.1
2θ 34.7, I 32.3
2θ 36.9, I 100.0
2θ 40.3, I 22.3
2θ 42.9, I 10.5
2θ 62.2, I 34.0
2θ 63.7, I 7.9
2θ 74.6, I 20.3



The following is a calculated powder diffraction line list of ZrNb2N. It was derived from a DFT-relaxed cell (GGA-PBE, Alexandria), using Cu Kα.
Intensities are scaled so that the largest is 100.

Cell: 3.332 3.332 11.279 Å, 90.00 90.04 90.00°
Sites, in units of the cell vectors:
Zr  0.250  0.000  0.099
Zr  0.750  0.500  0.901
Nb  0.249  0.001  0.712
Nb  0.251  0.001  0.426
Nb  0.749  0.501  0.574
Nb  0.751  0.501  0.288
N  0.250  0.000  0.901
N  0.750  0.500  0.099

Most intense lines, 2θ from 15° to 90°, by angle:
2θ 36.0, I 100.0
2θ 38.2, I 63.9
2θ 42.0, I 16.1
2θ 48.4, I 6.5
2θ 55.1, I 21.1
2θ 56.5, I 7.3
2θ 63.3, I 11.1
2θ 67.6, I 30.9



The following is a calculated powder diffraction line list of Nd3N2. It was derived from a DFT-relaxed cell (GGA-PBE, Alexandria), using Cu Kα.
Intensities are scaled so that the largest is 100.

Cell: 9.621 9.621 9.621 Å, 21.82 21.82 21.82°
Sites, in units of the cell vectors:
Nd  0.000  0.000  0.000
Nd  0.232  0.232  0.232
Nd  0.768  0.768  0.768
N  0.389  0.389  0.389
N  0.611  0.611  0.611

Most intense lines, 2θ from 15° to 90°, by angle:
2θ 28.5, I 58.5
2θ 31.1, I 100.0
2θ 32.5, I 65.1
2θ 38.3, I 52.3
2θ 50.1, I 38.3
2θ 51.1, I 36.7
2θ 58.7, I 33.9
2θ 64.8, I 16.6



The following is a calculated powder diffraction line list of Nd2NiP2N6. It was derived from a DFT-relaxed cell (GGA-PBE, Alexandria), using Cu Kα.
Intensities are scaled so that the largest is 100.

Cell: 6.043 6.043 6.043 Å, 53.26 53.26 53.26°
Sites, in units of the cell vectors:
Nd  0.218  0.218  0.218
Nd  0.782  0.782  0.782
Ni  0.000  0.000  0.000
P  0.428  0.428  0.428
P  0.572  0.572  0.572
N  0.242  0.755  0.755
N  0.245  0.245  0.758
N  0.245  0.758  0.245
N  0.755  0.242  0.755
N  0.755  0.755  0.242
N  0.758  0.245  0.245

Most intense lines, 2θ from 15° to 90°, by angle:
2θ 22.1, I 30.2
2θ 29.9, I 43.3
2θ 33.1, I 100.0
2θ 34.7, I 75.7
2θ 45.2, I 36.8
2θ 48.7, I 28.4
2θ 60.1, I 28.6
2θ 64.0, I 28.2